# 1
This entry pairs a crystal structure of Nd2Y7Sc2 with its calculated powder diffraction line list. Radiation: CuKα. Structure: a crystal structure in Alexandria, relaxed with PBE.

Top 6 peaks for 5 to 70 degrees two-theta, by angle:
(hkl)	d_spacing	intensity
-1 1 2	2.929	59
1 1 1	2.871	98
0 3 -1	2.838	100
0 1 -4	2.772	91
0 2 3	2.742	86
1 -2 2	2.701	95

Cell and atoms:
a = 3.5181 Å, b = 8.8148 Å, c = 11.4326 Å
α = 94.48°, β = 90.00°, γ = 101.48°
Space group P-1 (No. 2)
Symmetry-distinct sites (fractional):
Nd  0.0529  0.1077  0.2844 x2
Y  0.1326  0.2641  0.8330 x2
Y  0.2690  0.5372  0.6403 x2
Y  0.4060  0.8141  0.4312 x2
Y  0.5000  0.0000  0.0000 x1
Sc  0.2004  0.4002  0.0961 x2



# 2
This entry pairs a crystal structure of Nd5Mg2Pb4 with its calculated powder diffraction line list. Radiation: CuKα. Structure: a crystal structure in Alexandria, relaxed with PBE.

Top 6 peaks for 5 to 70 degrees two-theta, by angle:
(hkl)	d_spacing	intensity
1 1 1	3.678	71
6 0 0	3.435	42
3 1 -2	2.932	100
7 1 0	2.474	45
3 1 2	2.411	35
0 2 0	2.281	35

Cell and atoms:
a = 21.9883 Å, b = 4.5628 Å, c = 7.7875 Å
α = 90.00°, β = 110.39°, γ = 90.00°
Space group C2/m (No. 12)
Symmetry-distinct sites (fractional):
Nd  0.0000  0.0000  0.0000 x2
Nd  0.1603  0.5000  0.9249 x4
Nd  0.1609  0.5000  0.4001 x4
Mg  0.0730  0.0000  0.5761 x4
Pb  0.0005  0.5000  0.2910 x4
Pb  0.2127  0.0000  0.7141 x4



- What is the formula in the second record?
  Nd5Mg2Pb4